Diffraction record for Na2BAsS4. The powder diffraction line list is theoretical, not measured: it uses a crystal structure in Alexandria, relaxed with PBE and Cu Kα (weighted mean of Kα1 and Kα2).
Peak positions follow from Bragg's law for the DFT cell and can differ from measured ones.

Most intense lines, 2θ from 10° to 90°, by angle:
(0 2 2), 16.9 deg, I = 77; (0 0 4), 19.1 deg, I = 32; (1 1 5), 29.1 deg, I = 20; (1 3 3), 29.5 deg, I = 100; (2 0 6), 41.9 deg, I = 21; (2 6 0), 52.9 deg, I = 21

Atomic structure:
Cell lengths 6.0198, 12.7119, 18.5836 Å; angles 90.00, 90.00, 90.00 degrees
Space group Fddd (No. 70, origin choice 2)
One atom of each set of equivalent atoms:
Na  0.1250  0.1250  0.3127
B  0.1250  0.1250  0.1250
As  0.1250  0.1250  0.6250
S  0.0608  0.2831  0.4327